The following is a simulated X-ray diffraction stick pattern of Co7Ru2O12. It was derived from a cell relaxed with GGA+U, using a wavelength of 1.5418 Å.
Kinematic intensities with the Lorentz-polarization factor, no thermal factor.

Most intense lines, 2θ = 15–90°, by angle:
2θ (°), intensity, hkl
18.11, 980, 1 0 1
29.98, 991, 1 1 2
34.61, 548, -1 2 1
34.75, 550, 2 -1 1
34.91, 632, 1 -2 2
35.49, 677, 1 0 4
36.09, 979, 1 0 -5
36.24, 1000, 2 1 -3
62.22, 725, 0 4 -2
62.35, 725, 2 2 4

Structural model:
```
42
Lattice="5.9623 0.0000 0.0000 -0.2470 5.9716 0.0000 -2.6114 -2.6456 12.4614" Properties=species:S:1:pos:R:3 pbc="T T T"
Co 0.0000 0.0000 0.0000
Co -1.2894 -1.3095 6.2547
Co -1.3938 1.6680 6.2717
Co -1.3694 3.2166 9.3370
Co -1.1886 0.3207 11.5363
Co 0.1079 0.2701 8.3150
Co 1.4685 1.4844 2.0730
Co 1.5797 0.2674 5.3008
Co 2.9842 0.0014 0.0121
Co 1.5361 3.1137 7.2140
Co 1.6267 1.8413 10.3851
Co 3.0239 3.0652 4.1870
Co 4.2880 3.0153 0.9384
Co 4.5037 0.1328 3.1404
Ru 0.0431 3.1607 4.0649
Ru 1.2690 4.4649 2.2147
Ru 1.8335 -1.1286 10.2687
Ru 3.0794 0.1915 8.4170
O -1.2836 -1.0705 8.3411
O -1.3378 1.5498 8.2325
O 0.0157 2.8526 2.0546
O 0.1911 0.0322 2.0963
O -0.0480 0.2773 6.3927
O -0.0793 3.0927 6.0871
O 1.2711 4.5421 0.2314
O 1.4754 1.3548 0.1471
O 1.4726 1.7254 4.0032
O 1.4726 4.5658 4.2270
O 0.3616 0.3384 10.2671
O 0.3201 3.2530 10.3548
O 2.8020 0.0837 2.1298
O 1.5338 -1.1224 8.2524
O 2.7087 2.9889 2.1433
O 1.5549 1.5701 8.4449
O 1.6313 1.9717 12.3121
O 1.8484 -1.2107 12.2400
O 3.2211 0.2582 6.4210
O 3.2202 3.0679 6.2377
O 2.9228 3.2821 10.3552
O 3.0830 0.4892 10.4183
O 4.5856 1.7213 4.3132
O 4.5039 4.4780 4.1834
```